Theoretical powder XRD pattern
Compound: Rb2NdHoO4
Radiation: Cu Kα (λ = 1.5418 Å)
Structure: a PBE-relaxed structure

The 10 most intense peaks (2θ from 10° to 80°), most intense first:
(hkl)  Position (°2θ)  I_rel
1 0 2  32.33  100
1 1 0  51.75  59
0 0 4  27.53  33
0 0 2  13.66  24
1 1 4  59.56  24
0 1 3  35.94  22
0 1 4  40.53  22
1 0 0  29.16  15
0 2 2  62.30  15
1 0 1  29.98  12

Cell and atoms:
```
data_Rb2NdHoO4
_cell_length_a 3.5366
_cell_length_b 3.5366
_cell_length_c 12.9611
_cell_angle_alpha 90.00
_cell_angle_beta 90.00
_cell_angle_gamma 120.00
_symmetry_space_group_name_H-M 'P -3 m 1'
_symmetry_Int_Tables_number 164
_symmetry_space_group_name_Hall '-P 3 2"'
loop_
_atom_site_label
_atom_site_type_symbol
_atom_site_fract_x
_atom_site_fract_y
_atom_site_fract_z
Rb1 Rb 0.3333 0.6667 0.2533
Nd1 Nd 0.0000 0.0000 0.0000
Ho1 Ho 0.0000 0.0000 0.5000
O1 O 0.3333 0.6667 0.5860
O2 O 0.3333 0.6667 0.9041
```

***

Theoretical powder XRD pattern
Compound: ZrSc2Si2Ni4Ge2
Radiation: Cu Kα (λ = 1.5418 Å)
Structure: a PBE-relaxed structure

The 10 most intense peaks (2θ from 10° to 80°), most intense first:
(hkl)  Position (°2θ)  I_rel
1 2 1  36.79  100
1 1 4  39.01  48
0 0 6  42.21  46
1 2 5  51.08  44
0 3 3  46.92  37
2 0 0  47.11  37
1 1 2  30.31  26
2 3 3  68.68  22
0 1 5  37.62  17
1 3 2  50.27  14

Cell and atoms:
```
data_ZrSc2Si2Ni4Ge2
_cell_length_a 3.858
_cell_length_b 6.513
_cell_length_c 12.853
_cell_angle_alpha 90.00
_cell_angle_beta 90.00
_cell_angle_gamma 90.00
_symmetry_space_group_name_H-M 'I m m m'
_symmetry_Int_Tables_number 71
_symmetry_space_group_name_Hall '-I 2 2'
loop_
_atom_site_label
_atom_site_type_symbol
_atom_site_fract_x
_atom_site_fract_y
_atom_site_fract_z
Zr1 Zr 0.000 0.000 0.000
Sc1 Sc 0.000 0.500 0.128
Si1 Si 0.000 0.000 0.218
Ni1 Ni 0.000 0.303 0.319
Ge1 Ge 0.000 0.199 0.500
```

***

Theoretical powder XRD pattern
Compound: DyErAg2Sb4
Radiation: Cu Kα (λ = 1.5418 Å)
Structure: a PBE-relaxed structure

The 10 most intense peaks (2θ from 10° to 80°), most intense first:
(hkl)  Position (°2θ)  I_rel
1 1 2  34.00  100
2 0 0  41.77  33
3 1 2  71.29  23
2 0 4  55.24  16
0 0 4  34.48  15
1 0 2  26.80  11
2 2 0  60.54  11
1 0 4  40.47  9
2 2 4  71.57  7
1 0 5  48.55  6

Cell and atoms:
```
data_DyErAg2Sb4
_cell_length_a 4.325
_cell_length_b 4.325
_cell_length_c 10.405
_cell_angle_alpha 90.00
_cell_angle_beta 90.00
_cell_angle_gamma 90.00
_symmetry_space_group_name_H-M 'P 4 m m'
_symmetry_Int_Tables_number 99
_symmetry_space_group_name_Hall 'P 4 -2'
loop_
_atom_site_label
_atom_site_type_symbol
_atom_site_fract_x
_atom_site_fract_y
_atom_site_fract_z
Dy1 Dy 0.000 0.000 0.000
Er1 Er 0.500 0.500 0.529
Ag1 Ag 0.000 0.500 0.265
Sb1 Sb 0.000 0.000 0.451
Sb2 Sb 0.000 0.500 0.763
Sb3 Sb 0.500 0.500 0.079
```

***

Repeat the third record exactly.
Theoretical powder XRD pattern
Compound: DyErAg2Sb4
Radiation: Cu Kα (λ = 1.5418 Å)
Structure: a PBE-relaxed structure

The 10 most intense peaks (2θ from 10° to 80°), most intense first:
(hkl)  Position (°2θ)  I_rel
1 1 2  34.00  100
2 0 0  41.77  33
3 1 2  71.29  23
2 0 4  55.24  16
0 0 4  34.48  15
1 0 2  26.80  11
2 2 0  60.54  11
1 0 4  40.47  9
2 2 4  71.57  7
1 0 5  48.55  6

Cell and atoms:
```
data_DyErAg2Sb4
_cell_length_a 4.325
_cell_length_b 4.325
_cell_length_c 10.405
_cell_angle_alpha 90.00
_cell_angle_beta 90.00
_cell_angle_gamma 90.00
_symmetry_space_group_name_H-M 'P 4 m m'
_symmetry_Int_Tables_number 99
_symmetry_space_group_name_Hall 'P 4 -2'
loop_
_atom_site_label
_atom_site_type_symbol
_atom_site_fract_x
_atom_site_fract_y
_atom_site_fract_z
Dy1 Dy 0.000 0.000 0.000
Er1 Er 0.500 0.500 0.529
Ag1 Ag 0.000 0.500 0.265
Sb1 Sb 0.000 0.000 0.451
Sb2 Sb 0.000 0.500 0.763
Sb3 Sb 0.500 0.500 0.079
```